[1]
Starting from a cell relaxed with GGA-PBE, the powder XRD pattern of Cd2Ag6Pd3 was computed for a wavelength of 1.5418 Å.

Peak list (6 most intense, 2θ = 5–70°, by angle)
- 32.09°, d 2.789, rel. 29
- 32.88°, d 2.724, rel. 84
- 36.94°, d 2.433, rel. 31
- 37.72°, d 2.385, rel. 80
- 41.57°, d 2.173, rel. 100
- 46.22°, d 1.964, rel. 80

```
Cd2Ag6Pd3
1.0
-1.9643 1.9643 13.9466
1.9643 -1.9643 13.9466
1.9643 1.9643 -13.9466
Cd Ag Pd
2 6 3
Direct
0.1586 0.1586 0.0000
0.8414 0.8414 0.0000
0.0696 0.5696 0.5000
0.2606 0.2606 0.0000
0.4304 0.9304 0.5000
0.5696 0.0696 0.5000
0.7394 0.7394 0.0000
0.9304 0.4304 0.5000
0.3570 0.3570 0.0000
0.5000 0.5000 0.0000
0.6430 0.6430 0.0000
```

=====

[2]
Starting from a cell relaxed with GGA-PBE, the powder XRD pattern of Cd2AgPd2 was computed for a wavelength of 1.5418 Å.

Peak list (6 most intense, 2θ = 5–70°, by angle)
- 37.64°, d 2.390, rel. 50
- 37.69°, d 2.387, rel. 100
- 37.81°, d 2.379, rel. 49
- 43.58°, d 2.077, rel. 32
- 43.74°, d 2.070, rel. 33
- 44.14°, d 2.052, rel. 31

```
Cd2AgPd2
1.0
4.1393 0.0000 0.0000
2.0454 4.5967 0.0000
2.0650 -0.0409 4.6347
Cd Ag Pd
2 1 2
Direct
0.2033 0.3833 0.2109
0.7967 0.6167 0.7891
0.0000 0.0000 0.0000
0.4084 0.7938 0.3914
0.5916 0.2062 0.6086
```

=====

[3]
Starting from a cell relaxed with GGA-PBE, the powder XRD pattern of Cd2Ag5Pd2 was computed for a wavelength of 1.5418 Å.

Peak list (6 most intense, 2θ = 5–70°, by angle)
- 38.28°, d 2.351, rel. 77
- 38.39°, d 2.345, rel. 38
- 38.70°, d 2.327, rel. 100
- 55.63°, d 1.652, rel. 22
- 69.35°, d 1.355, rel. 12
- 69.48°, d 1.353, rel. 22

```
Cd2Ag5Pd2
1.0
8.5075 0.0000 0.0000
0.0000 2.3450 4.0762
0.0000 -2.3450 4.0762
Cd Ag Pd
2 5 2
Direct
0.0000 0.0000 0.0000
0.5000 0.3326 0.3326
0.1676 0.3335 0.3335
0.3314 0.9997 0.9997
0.5000 0.6656 0.6656
0.6686 0.9997 0.9997
0.8324 0.3335 0.3335
0.1661 0.6666 0.6666
0.8339 0.6666 0.6666
```

=====

[4]
Starting from a cell relaxed with GGA-PBE, the powder XRD pattern of CdAg2Pd5Pt was computed for a wavelength of 1.5418 Å.

Peak list (6 most intense, 2θ = 5–70°, by angle)
- 35.18°, d 2.551, rel. 24
- 36.39°, d 2.469, rel. 100
- 38.02°, d 2.367, rel. 60
- 40.04°, d 2.252, rel. 18
- 46.07°, d 1.970, rel. 35
- 67.63°, d 1.385, rel. 33

```
CdAg2Pd5Pt
1.0
-3.3474 3.3474 7.3114
3.3474 -3.3474 7.3114
3.3474 3.3474 -7.3114
Cd Ag Pd Pt
2 4 10 2
Direct
0.2500 0.7500 0.5000
0.7500 0.2500 0.5000
0.1312 0.6312 0.7624
0.3688 0.1312 0.5000
0.6312 0.8688 0.5000
0.8688 0.3688 0.2376
0.0000 0.0000 0.0000
0.0828 0.1098 0.5000
0.1098 0.6098 0.0270
0.3902 0.4172 0.5000
0.4172 0.9172 0.0270
0.5000 0.5000 0.0000
0.5828 0.0828 0.9730
0.6098 0.5828 0.5000
0.8902 0.3902 0.9730
0.9172 0.8902 0.5000
0.2500 0.2500 0.0000
0.7500 0.7500 0.0000
```

=====

[5]
Starting from a cell relaxed with GGA-PBE, the powder XRD pattern of SrCdAg2Pd was computed for a wavelength of 1.5418 Å.

Peak list (6 most intense, 2θ = 5–70°, by angle)
- 29.38°, d 3.040, rel. 18
- 32.64°, d 2.744, rel. 100
- 41.04°, d 2.199, rel. 64
- 41.50°, d 2.176, rel. 27
- 42.56°, d 2.124, rel. 33
- 60.95°, d 1.520, rel. 22

```
SrCdAg2Pd
1.0
-2.1241 2.1762 6.3709
2.1241 -2.1762 6.3709
2.1241 2.1762 -6.3709
Sr Cd Ag Pd
1 1 2 1
Direct
0.0000 0.0000 0.0000
0.2668 0.7668 0.5000
0.6200 0.6200 0.0000
0.7694 0.2694 0.5000
0.4094 0.4094 0.0000
```

=====

[6]
Starting from a cell relaxed with GGA-PBE, the powder XRD pattern of PmCd6Ag was computed for a wavelength of 1.5418 Å.

Peak list (6 most intense, 2θ = 5–70°, by angle)
- 33.96°, d 2.640, rel. 31
- 34.31°, d 2.614, rel. 15
- 35.01°, d 2.563, rel. 100
- 37.30°, d 2.410, rel. 40
- 39.21°, d 2.298, rel. 12
- 65.78°, d 1.420, rel. 15

```
PmCd6Ag
1.0
4.8226 0.0000 0.0000
0.0000 3.7114 5.2272
0.0000 -3.7114 5.2272
Pm Cd Ag
1 6 1
Direct
0.0000 0.0000 0.0000
0.0000 0.0753 0.4907
0.0000 0.4907 0.0753
0.0000 0.5760 0.5760
0.5000 0.1998 0.1998
0.5000 0.2719 0.6854
0.5000 0.6854 0.2719
0.5000 0.7695 0.7695
```